Theoretical X-ray powder pattern
Compound: Pr2Hg3Pb3
Radiation: Cu Ka
Structure: DFT lattice parameters and positions (GGA-PBE)
Neutral-atom scattering factors, no anomalous dispersion.

Structural model:
Cell: 4.804 4.892 9.391 Å, 90.00 90.00 90.00°
Space group Pmmm (No. 47)
One atom of each set of equivalent atoms:
Pr1 0.000 0.000 0.249 [2 per cell]
Hg1 0.000 0.500 0.000 [1 per cell]
Hg2 0.500 0.500 0.243 [2 per cell]
Pb1 0.000 0.500 0.500 [1 per cell]
Pb2 0.500 0.000 0.000 [1 per cell]
Pb3 0.500 0.000 0.500 [1 per cell]

Most intense lines, 15° ≤ 2θ ≤ 90°, low angle first:
hkl 1 1 2, 32.34°, d = 2.769 Å, intensity 100; hkl 0 2 0, 36.74°, d = 2.446 Å, intensity 18; hkl 2 0 0, 37.44°, d = 2.402 Å, intensity 17; hkl 0 0 4, 38.34°, d = 2.348 Å, intensity 16; hkl 2 2 0, 53.46°, d = 1.714 Å, intensity 12; hkl 1 3 2, 63.41°, d = 1.467 Å, intensity 15; hkl 3 1 2, 64.35°, d = 1.448 Å, intensity 14; hkl 1 1 6, 65.57°, d = 1.424 Å, intensity 13